Zn2AgI: computed X-ray diffraction stick pattern (Cu Kα, 1.54184 Å), based on a DFT-relaxed cell (PBE, Alexandria).

Largest 12 diffraction maxima, in order of rising 2θ, 15 to 90 degrees two-theta:
hkl 0 1 0, 22.98°, I = 18
hkl 1 0 0, 23.16°, I = 100
hkl 1 0 -1, 24.35°, I = 27
hkl 0 1 1, 30.13°, I = 39
hkl 0 1 -2, 30.38°, I = 39
hkl -1 1 1, 35.34°, I = 41
hkl 1 1 -2, 35.86°, I = 43
hkl 1 1 1, 41.15°, I = 99
hkl 0 0 3, 41.78°, I = 27
hkl 0 2 -1, 44.81°, I = 35
hkl 2 0 0, 47.39°, I = 18
hkl 1 0 3, 52.77°, I = 15

Atomic structure:
Cell: 3.924 4.045 6.915 Å, 106.42 101.39 90.70°
Space group P1 (No. 1)
One atom of each set of equivalent atoms:
Zn 0.000 0.000 0.000 (multiplicity 1)
Zn 0.494 0.505 0.013 (multiplicity 1)
Ag 0.604 0.134 0.280 (multiplicity 1)
I 0.612 0.785 0.592 (multiplicity 1)